[1]
Structure and theoretical X-ray powder pattern of Dy2Fe4Si9 (a cell relaxed with GGA-PBE; Cu Kα).
Kinematic intensities with the Lorentz-polarization factor, no thermal factor.

Principal peaks in the range 2θ from 10° to 90°, by angle:
two_theta, intensity
26.1, 19
26.7, 37
31.1, 100
33.5, 21
38.5, 45
42.9, 40
46.0, 72
56.5, 18
58.1, 25
58.4, 18

Cell and atoms:
Lattice parameters (Å, degrees): 3.9461 3.9461 16.0502 90.00 90.00 120.00
Positions (direct):
1 Dy 0.3333 0.6667 0.2421
2 Dy 0.6667 0.3333 0.7579
3 Fe 0.3333 0.6667 0.5886
4 Fe 0.3333 0.6667 0.8989
5 Fe 0.6667 0.3333 0.1011
6 Fe 0.6667 0.3333 0.4114
7 Si 0.0000 0.0000 0.1263
8 Si 0.0000 0.0000 0.3504
9 Si 0.0000 0.0000 0.5000
10 Si 0.0000 0.0000 0.6496
11 Si 0.0000 0.0000 0.8737
12 Si 0.3333 0.6667 0.0430
13 Si 0.3333 0.6667 0.4336
14 Si 0.6667 0.3333 0.5664
15 Si 0.6667 0.3333 0.9570

=====

[2]
Structure and theoretical X-ray powder pattern of DyTaFe4 (a cell relaxed with GGA-PBE; Cu Kα).
Kinematic intensities with the Lorentz-polarization factor, no thermal factor.

Principal peaks in the range 2θ from 10° to 90°, by angle:
two_theta, intensity
36.3, 70
39.1, 99
42.7, 100
43.6, 50
67.1, 39
69.6, 23
72.6, 29
77.0, 21
84.0, 20
89.9, 19

Cell and atoms:
Lattice parameters (Å, degrees): 4.9556 4.9556 8.1879 90.00 90.00 120.00
Positions (direct):
1 Dy 0.3333 0.6667 0.0675
2 Dy 0.6667 0.3333 0.9325
3 Ta 0.3333 0.6667 0.4448
4 Ta 0.6667 0.3333 0.5552
5 Fe 0.0000 0.0000 0.0000
6 Fe 0.0000 0.0000 0.5000
7 Fe 0.1679 0.3359 0.7338
8 Fe 0.1679 0.8321 0.7338
9 Fe 0.3359 0.1679 0.2662
10 Fe 0.6641 0.8321 0.7338
11 Fe 0.8321 0.1679 0.2662
12 Fe 0.8321 0.6641 0.2662

=====

[3]
Structure and theoretical X-ray powder pattern of TbDyFe10 (a cell relaxed with GGA-PBE; Cu Kα).
Kinematic intensities with the Lorentz-polarization factor, no thermal factor.

Principal peaks in the range 2θ from 10° to 90°, by angle:
two_theta, intensity
30.7, 56
35.9, 12
36.0, 23
41.7, 25
41.8, 12
42.9, 100
46.0, 24
59.7, 16
63.9, 20
69.3, 15

Cell and atoms:
Lattice parameters (Å, degrees): 3.9460 5.0044 8.6359 90.00 90.00 90.00
Positions (direct):
1 Tb 0.0000 0.0000 0.0000
2 Dy 0.0000 0.5000 0.5000
3 Fe 0.0000 0.0000 0.3341
4 Fe 0.0000 0.0000 0.6659
5 Fe 0.0000 0.5000 0.1668
6 Fe 0.0000 0.5000 0.8332
7 Fe 0.5000 0.0000 0.5000
8 Fe 0.5000 0.2502 0.2505
9 Fe 0.5000 0.2502 0.7495
10 Fe 0.5000 0.5000 0.0000
11 Fe 0.5000 0.7498 0.2505
12 Fe 0.5000 0.7498 0.7495

=====

[4]
Structure and theoretical X-ray powder pattern of TbDy2Fe (a cell relaxed with GGA-PBE; Cu Kα).
Kinematic intensities with the Lorentz-polarization factor, no thermal factor.

Principal peaks in the range 2θ from 10° to 90°, by angle:
two_theta, intensity
27.1, 43
30.7, 43
31.3, 55
32.0, 50
32.5, 100
32.8, 65
35.0, 44
35.1, 63
57.5, 30
60.6, 32

Cell and atoms:
Lattice parameters (Å, degrees): 7.0470 9.1956 6.2626 90.00 90.00 90.00
Positions (direct):
1 Tb 0.0496 0.2500 0.1382
2 Tb 0.4504 0.7500 0.6382
3 Tb 0.5496 0.2500 0.3618
4 Tb 0.9504 0.7500 0.8618
5 Dy 0.1738 0.0675 0.6728
6 Dy 0.1738 0.4325 0.6728
7 Dy 0.3262 0.5675 0.1728
8 Dy 0.3262 0.9325 0.1728
9 Dy 0.6738 0.0675 0.8272
10 Dy 0.6738 0.4325 0.8272
11 Dy 0.8262 0.5675 0.3272
12 Dy 0.8262 0.9325 0.3272
13 Fe 0.1098 0.7500 0.4658
14 Fe 0.3902 0.2500 0.9658
15 Fe 0.6098 0.7500 0.0342
16 Fe 0.8902 0.2500 0.5342

=====

[5]
Structure and theoretical X-ray powder pattern of Dy2Fe3Tc (a cell relaxed with GGA-PBE; Cu Kα).
Kinematic intensities with the Lorentz-polarization factor, no thermal factor.

Principal peaks in the range 2θ from 10° to 90°, by angle:
two_theta, intensity
21.0, 16
34.5, 53
34.6, 31
40.7, 100
40.8, 37
42.6, 17
61.8, 21
66.0, 35
72.6, 16
72.9, 15

Cell and atoms:
Lattice parameters (Å, degrees): 5.1890 5.1890 5.1890 60.23 60.23 60.23
Positions (direct):
1 Dy 0.1255 0.1255 0.1255
2 Dy 0.8745 0.8745 0.8745
3 Fe 0.0000 0.5000 0.5000
4 Fe 0.5000 0.0000 0.5000
5 Fe 0.5000 0.5000 0.0000
6 Tc 0.5000 0.5000 0.5000

=====

[6]
Structure and theoretical X-ray powder pattern of Dy5Fe2Te2 (a cell relaxed with GGA-PBE; Cu Kα).
Kinematic intensities with the Lorentz-polarization factor, no thermal factor.

Principal peaks in the range 2θ from 10° to 90°, by angle:
two_theta, intensity
26.0, 59
31.3, 64
32.6, 88
32.7, 85
32.9, 78
33.2, 67
34.7, 100
37.6, 67
37.8, 64
59.1, 60

Cell and atoms:
Lattice parameters (Å, degrees): 8.7570 8.7570 7.6108 90.00 90.00 51.93
Positions (direct):
1 Dy 0.0000 0.0000 0.0000
2 Dy 0.0498 0.7108 0.6679
3 Dy 0.2108 0.5498 0.1679
4 Dy 0.2892 0.9502 0.6679
5 Dy 0.4502 0.7892 0.1679
6 Dy 0.5000 0.5000 0.5000
7 Dy 0.5498 0.2108 0.8321
8 Dy 0.7108 0.0498 0.3321
9 Dy 0.7892 0.4502 0.8321
10 Dy 0.9502 0.2892 0.3321
11 Fe 0.1092 0.8908 0.3936
12 Fe 0.3908 0.6092 0.8936
13 Fe 0.6092 0.3908 0.1064
14 Fe 0.8908 0.1092 0.6064
15 Te 0.2112 0.2112 0.0000
16 Te 0.2888 0.2888 0.5000
17 Te 0.7112 0.7112 0.5000
18 Te 0.7888 0.7888 0.0000

=====

[7]
Structure and theoretical X-ray powder pattern of Dy6FeTe4 (a cell relaxed with GGA-PBE; Cu Kα).
Kinematic intensities with the Lorentz-polarization factor, no thermal factor.

Principal peaks in the range 2θ from 10° to 90°, by angle:
two_theta, intensity
25.7, 26
31.7, 41
33.0, 38
34.9, 100
35.8, 25
45.1, 14
53.1, 16
53.2, 14
64.2, 13
68.1, 13

Cell and atoms:
Lattice parameters (Å, degrees): 8.5336 8.5336 8.5336 88.92 88.92 88.92
Positions (direct):
1 Dy 0.0605 0.9304 0.7141
2 Dy 0.0696 0.2859 0.9395
3 Dy 0.2141 0.4304 0.5605
4 Dy 0.2859 0.9395 0.0696
5 Dy 0.4304 0.5605 0.2141
6 Dy 0.4395 0.7859 0.5696
7 Dy 0.5605 0.2141 0.4304
8 Dy 0.5696 0.4395 0.7859
9 Dy 0.7141 0.0605 0.9304
10 Dy 0.7859 0.5696 0.4395
11 Dy 0.9304 0.7141 0.0605
12 Dy 0.9395 0.0696 0.2859
13 Fe 0.0000 0.0000 0.0000
14 Fe 0.5000 0.5000 0.5000
15 Te 0.1223 0.7500 0.3777
16 Te 0.2500 0.2500 0.2500
17 Te 0.2500 0.6223 0.8777
18 Te 0.3777 0.1223 0.7500
19 Te 0.6223 0.8777 0.2500
20 Te 0.7500 0.3777 0.1223
21 Te 0.7500 0.7500 0.7500
22 Te 0.8777 0.2500 0.6223

=====

[8]
Structure and theoretical X-ray powder pattern of Dy2FeTe (a cell relaxed with GGA-PBE; Cu Kα).
Kinematic intensities with the Lorentz-polarization factor, no thermal factor.

Principal peaks in the range 2θ from 10° to 90°, by angle:
two_theta, intensity
27.3, 44
27.9, 100
31.7, 95
35.6, 41
39.3, 28
42.9, 59
45.6, 17
47.8, 56
58.5, 17
63.6, 40

Cell and atoms:
Lattice parameters (Å, degrees): 3.8026 3.8026 27.4841 90.00 90.00 120.00
Positions (direct):
1 Dy 0.0000 0.0000 0.0900
2 Dy 0.0000 0.0000 0.9100
3 Dy 0.3333 0.6667 0.5766
4 Dy 0.3333 0.6667 0.7567
5 Dy 0.6667 0.3333 0.2433
6 Dy 0.6667 0.3333 0.4234
7 Fe 0.0000 0.0000 0.0000
8 Fe 0.3333 0.6667 0.6667
9 Fe 0.6667 0.3333 0.3333
10 Te 0.0000 0.0000 0.5000
11 Te 0.3333 0.6667 0.1667
12 Te 0.6667 0.3333 0.8333